Diffraction record for Li5Mn3O8. The X-ray powder pattern is simulated, not measured: it uses DFT lattice parameters and positions (GGA+U) and Cu Ka.
No peak broadening, texture or thermal motion is included.

Structure:
```
data_Li5Mn3O8
_chemical_formula_sum 'Li5 Mn3 O8'
_symmetry_space_group_name_H-M 'P 1'
_symmetry_Int_Tables_number 1
_cell_length_a 2.893
_cell_length_b 5.890
_cell_length_c 8.235
_cell_angle_alpha 90.48
_cell_angle_beta 90.14
_cell_angle_gamma 90.31
loop_
_symmetry_equiv_pos_as_xyz
'x,y,z'
loop_
_atom_site_label
_atom_site_fract_x
_atom_site_fract_y
_atom_site_fract_z
Li1 0.000 0.000 0.000
Li2 0.000 0.000 0.500
Li3 0.000 0.500 0.000
Li4 0.499 0.241 0.775
Li5 0.501 0.759 0.225
Mn1 0.000 0.500 0.500
Mn2 0.500 0.247 0.240
Mn3 0.500 0.753 0.760
O1 0.000 0.028 0.252
O2 0.000 0.972 0.748
O3 0.005 0.478 0.257
O4 0.492 0.729 0.511
O5 0.500 0.252 0.019
O6 0.500 0.748 0.981
O7 0.508 0.271 0.489
O8 0.995 0.522 0.743
```

Peak list (10 most intense, 10 to 90 degrees two-theta, most intense first)
| d_spacing | I/Imax | (hkl) |
| --- | --- | --- |
| 4.809 | 100.0 | 0 1 -1 |
| 2.058 | 60.4 | 1 2 0 |
| 2.069 | 31.5 | 1 -2 0 |
| 2.480 | 26.2 | -1 1 1 |
| 8.235 | 20.7 | 0 0 1 |
| 1.462 | 15.5 | 1 -2 4 |
| 5.889 | 14.6 | 0 1 0 |
| 4.772 | 12.6 | 0 1 1 |
| 2.467 | 11.5 | 1 1 1 |
| 1.446 | 8.4 | 2 0 0 |